Entry 1:
# In2Cu2O5
Simulated PXRD pattern, Cu Kα. Input: a DFT-relaxed cell (GGA-PBE, the Materials Project).

Cell and atoms:
```
In2Cu2O5
1.0
10.7328 0.0000 0.0000
0.0000 3.3485 0.0000
0.0000 0.0000 12.4623
In Cu O
8 8 20
Direct
0.0380 0.2185 0.0000
0.2129 0.2157 0.3293
0.2871 0.7157 0.8293
0.4620 0.7185 0.5000
0.5380 0.2815 0.0000
0.7129 0.2843 0.3293
0.7871 0.7843 0.8293
0.9620 0.7815 0.5000
0.0082 0.3285 0.7184
0.2397 0.1587 0.6115
0.2603 0.6587 0.1115
0.4918 0.8285 0.2184
0.5082 0.1715 0.7184
0.7397 0.3413 0.6115
0.7603 0.8413 0.1115
0.9918 0.6715 0.2184
0.0699 0.2789 0.5679
0.0793 0.7284 0.3589
0.1249 0.3243 0.1653
0.1715 0.7170 0.9714
0.1783 0.2097 0.7622
0.3217 0.7097 0.2622
0.3285 0.2170 0.4714
0.3751 0.8243 0.6653
0.4207 0.2284 0.8589
0.4301 0.7789 0.0679
0.5699 0.2211 0.5679
0.5793 0.7716 0.3589
0.6249 0.1757 0.1653
0.6715 0.7830 0.9714
0.6783 0.2903 0.7622
0.8217 0.7903 0.2622
0.8285 0.2830 0.4714
0.8751 0.6757 0.6653
0.9207 0.2716 0.8589
0.9301 0.7211 0.0679
```

Main lines, by intensity (2θ from 5° to 70°):
d (Å)	I_rel
2.770	100
2.694	74
2.607	51
1.870	31
4.066	31
1.985	28
2.683	26
2.842	25
1.509	24
3.285	22


Entry 2:
# Al3Si3Ag4IO12
Simulated PXRD pattern, Cu Kα. Input: a DFT-relaxed cell (GGA-PBE, the Materials Project).

Cell and atoms:
```
Al3Si3Ag4IO12
1.0
9.0729 0.0000 0.0000
0.0000 9.0729 0.0000
0.0000 0.0000 9.0729
Al Si Ag I O
6 6 8 2 24
Direct
0.0000 0.2500 0.5000
0.0000 0.7500 0.5000
0.2500 0.5000 0.0000
0.5000 0.0000 0.2500
0.5000 0.0000 0.7500
0.7500 0.5000 0.0000
0.0000 0.5000 0.2500
0.0000 0.5000 0.7500
0.2500 0.0000 0.5000
0.5000 0.2500 0.0000
0.5000 0.7500 0.0000
0.7500 0.0000 0.5000
0.1752 0.1752 0.1752
0.1752 0.8248 0.8248
0.3248 0.3248 0.6752
0.3248 0.6752 0.3248
0.6752 0.3248 0.3248
0.6752 0.6752 0.6752
0.8248 0.1752 0.8248
0.8248 0.8248 0.1752
0.0000 0.0000 0.0000
0.5000 0.5000 0.5000
0.0571 0.3615 0.6488
0.0571 0.6385 0.3512
0.1385 0.4429 0.1488
0.1385 0.5571 0.8512
0.1488 0.1385 0.4429
0.1488 0.8615 0.5571
0.3512 0.0571 0.6385
0.3512 0.9429 0.3615
0.3615 0.3512 0.9429
0.3615 0.6488 0.0571
0.4429 0.1488 0.1385
0.4429 0.8512 0.8615
0.5571 0.1488 0.8615
0.5571 0.8512 0.1385
0.6385 0.3512 0.0571
0.6385 0.6488 0.9429
0.6488 0.0571 0.3615
0.6488 0.9429 0.6385
0.8512 0.1385 0.5571
0.8512 0.8615 0.4429
0.8615 0.4429 0.8512
0.8615 0.5571 0.1488
0.9429 0.3615 0.3512
0.9429 0.6385 0.6488
```

Main lines, by intensity (2θ from 5° to 70°):
d (Å)	I_rel
3.704	100
2.138	66
2.425	38
1.472	18
1.512	16
6.415	15
3.208	12
1.852	11
2.029	8
1.400	8


Entry 3:
# Ho2MgGa
Simulated PXRD pattern, Cu Kα. Input: a DFT-relaxed cell (GGA-PBE, the Materials Project).

Cell and atoms:
```
Ho2MgGa
1.0
0.0000 3.6387 3.6387
3.6387 0.0000 3.6387
3.6387 3.6387 0.0000
Ho Mg Ga
2 1 1
Direct
0.2500 0.2500 0.2500
0.7500 0.7500 0.7500
0.0000 0.0000 0.0000
0.5000 0.5000 0.5000
```

Main lines, by intensity (2θ from 5° to 70°):
d (Å)	I_rel
2.573	100
1.485	37
3.639	35
1.819	18
1.627	15
2.101	11
4.202	3
2.194	2
1.670	1


Entry 4:
# Na4LiNb5O15
Simulated PXRD pattern, Cu Kα. Input: a DFT-relaxed cell (GGA-PBE, the Materials Project).

Cell and atoms:
```
Na4LiNb5O15
1.0
2.7629 1.5951 23.4388
-2.7629 1.5951 23.4388
0.0000 -3.1903 23.4388
Na Li Nb O
8 2 10 30
Direct
0.0000 0.0000 0.0000
0.0995 0.0995 0.0995
0.1998 0.1998 0.1998
0.3000 0.3000 0.3000
0.4996 0.4996 0.4996
0.5999 0.5999 0.5999
0.6998 0.6998 0.6998
0.8999 0.8999 0.8999
0.4023 0.4023 0.4023
0.8022 0.8022 0.8022
0.0483 0.0483 0.0483
0.1471 0.1471 0.1471
0.2479 0.2479 0.2479
0.3483 0.3483 0.3483
0.4478 0.4478 0.4478
0.5478 0.5478 0.5478
0.6481 0.6481 0.6481
0.7476 0.7476 0.7476
0.8476 0.8476 0.8476
0.9480 0.9480 0.9480
0.0207 0.5981 0.1646
0.0642 0.4976 0.9199
0.0999 0.5170 0.6655
0.1183 0.2656 0.7001
0.1646 0.0207 0.5981
0.1955 0.7944 0.3928
0.1976 0.7640 0.6210
0.2656 0.7001 0.1183
0.2983 0.7208 0.8646
0.3210 0.4643 0.8977
0.3928 0.1955 0.7944
0.3952 0.9928 0.7959
0.4214 0.9984 0.5642
0.4643 0.8977 0.3210
0.4976 0.9199 0.0642
0.5170 0.6655 0.0999
0.5642 0.4214 0.9984
0.5981 0.1646 0.0207
0.6210 0.1976 0.7640
0.6655 0.0999 0.5170
0.7001 0.1183 0.2656
0.7208 0.8646 0.2983
0.7640 0.6210 0.1976
0.7944 0.3928 0.1955
0.7959 0.3952 0.9928
0.8646 0.2983 0.7208
0.8977 0.3210 0.4643
0.9199 0.0642 0.4976
0.9928 0.7959 0.3952
0.9984 0.5642 0.4214
```

Main lines, by intensity (2θ from 5° to 70°):
d (Å)	I_rel
3.956	100
2.833	57
2.763	45
1.978	38
1.787	23
1.608	22
1.752	17
1.595	14
1.650	12
1.417	10


Entry 5:
# BaNaVS4
Simulated PXRD pattern, Cu Kα. Input: a DFT-relaxed cell (GGA-PBE, the Materials Project).

Cell and atoms:
```
BaNaVS4
1.0
6.5350 0.0000 0.0000
0.0000 9.6157 0.0000
-4.0560 0.0000 11.5835
Ba Na V S
4 4 4 16
Direct
0.1224 0.1150 0.3442
0.1224 0.3850 0.8442
0.8776 0.6150 0.1558
0.8776 0.8850 0.6558
0.2691 0.6156 0.5249
0.2691 0.8844 0.0249
0.7309 0.1156 0.9751
0.7309 0.3844 0.4751
0.3798 0.1190 0.6847
0.3798 0.3810 0.1847
0.6202 0.6190 0.8153
0.6202 0.8810 0.3153
0.1815 0.2098 0.0920
0.1815 0.2902 0.5920
0.2820 0.6705 0.7669
0.2820 0.8295 0.2669
0.2885 0.0697 0.8354
0.2885 0.4303 0.3354
0.3231 0.5632 0.0778
0.3231 0.9368 0.5778
0.6769 0.0632 0.4222
0.6769 0.4368 0.9222
0.7115 0.5697 0.6646
0.7115 0.9303 0.1646
0.7180 0.1705 0.7331
0.7180 0.3295 0.2331
0.8185 0.7098 0.4080
0.8185 0.7902 0.9080
```

Main lines, by intensity (2θ from 5° to 70°):
d (Å)	I_rel
3.842	100
2.895	77
7.399	60
2.412	50
2.804	46
3.086	46
3.583	44
2.655	40
5.192	40
5.792	32


Entry 6:
# GdMgGa
Simulated PXRD pattern, Cu Kα. Input: a DFT-relaxed cell (GGA-PBE, the Materials Project).

Cell and atoms:
```
GdMgGa
1.0
7.3634 0.0000 0.0000
-3.6817 6.3769 0.0000
0.0000 0.0000 4.4887
Gd Mg Ga
3 3 3
Direct
0.0000 0.5752 0.0000
0.4248 0.4248 0.0000
0.5752 0.0000 0.0000
0.0000 0.2437 0.5000
0.2437 0.0000 0.5000
0.7563 0.7563 0.5000
0.0000 0.0000 0.0000
0.3333 0.6667 0.5000
0.6667 0.3333 0.5000
```

Main lines, by intensity (2θ from 5° to 70°):
d (Å)	I_rel
2.599	100
2.847	77
3.188	32
1.646	29
2.124	28
4.489	25
2.244	25
2.410	24
3.682	22
1.769	21


Entry 7:
# Ba5Ta4O15
Simulated PXRD pattern, Cu Kα. Input: a DFT-relaxed cell (GGA-PBE, the Materials Project).

Cell and atoms:
```
Ba5Ta4O15
1.0
5.8623 0.0000 0.0000
-2.9311 5.0769 0.0000
0.0000 0.0000 11.9814
Ba Ta O
5 4 15
Direct
0.0000 0.0000 0.0000
0.3333 0.6667 0.4311
0.3333 0.6667 0.7880
0.6667 0.3333 0.2120
0.6667 0.3333 0.5689
0.0000 0.0000 0.3136
0.0000 0.0000 0.6864
0.3333 0.6667 0.1036
0.6667 0.3333 0.8964
0.0000 0.5000 0.0000
0.1629 0.3258 0.6137
0.1629 0.8371 0.6137
0.1694 0.3387 0.1908
0.1694 0.8306 0.1908
0.3258 0.1629 0.3863
0.3387 0.1694 0.8092
0.5000 0.0000 0.0000
0.5000 0.5000 0.0000
0.6613 0.8306 0.1908
0.6742 0.8371 0.6137
0.8306 0.1694 0.8092
0.8306 0.6613 0.8092
0.8371 0.1629 0.3863
0.8371 0.6742 0.3863
```

Main lines, by intensity (2θ from 5° to 70°):
d (Å)	I_rel
3.139	100
2.931	85
2.142	48
1.730	36
1.858	21
1.692	17
1.384	16
1.466	16
1.569	12
3.873	6


Entry 8:
# BiIO
Simulated PXRD pattern, Cu Kα. Input: a DFT-relaxed cell (GGA-PBE, the Materials Project).

Cell and atoms:
```
BiIO
1.0
4.0283 0.0000 0.0000
0.0000 4.0283 0.0000
0.0000 0.0000 9.7593
Bi I O
2 2 2
Direct
0.2500 0.2500 0.1268
0.7500 0.7500 0.8732
0.2500 0.2500 0.6812
0.7500 0.7500 0.3188
0.2500 0.7500 0.0000
0.7500 0.2500 0.0000
```

Main lines, by intensity (2θ from 5° to 70°):
d (Å)	I_rel
3.107	100
2.848	43
9.759	43
1.690	35
2.014	20
2.531	19
1.853	15
1.610	11
1.576	9
1.553	7